Entry 1:
The following is a computed powder XRD pattern of Hg4Rh3. It was derived from the PBE geometry in Alexandria, using Cu Kα (λ = 1.5418 Å).
Kinematic intensities with the Lorentz-polarization factor, no thermal factor.

Cell and atoms:
Cell: 14.4324 14.4324 14.4324 Å, 167.96 167.96 17.05°
Element x y z (fractional)
Hg (0.0658, 0.0658, 0.0000)
Hg (0.3462, 0.3462, 0.0000)
Hg (0.6538, 0.6538, 0.0000)
Hg (0.9342, 0.9342, 0.0000)
Rh (0.2219, 0.2219, 0.0000)
Rh (0.5000, 0.5000, 0.0000)
Rh (0.7781, 0.7781, 0.0000)

The 6 most intense peaks (5° ≤ 2θ ≤ 70°), low angle first:
2θ (°), intensity
31.01, 13
36.99, 100
42.23, 39
44.43, 10
61.26, 13
62.97, 14

Entry 2:
The following is a computed powder XRD pattern of Ru2Pt3. It was derived from the PBE geometry in Alexandria, using Cu Kα (λ = 1.5418 Å).
Kinematic intensities with the Lorentz-polarization factor, no thermal factor.

Cell and atoms:
Cell: 11.5374 11.5374 11.5374 Å, 13.70 13.70 13.70°
Element x y z (fractional)
Ru (0.1969, 0.1969, 0.1969)
Ru (0.8031, 0.8031, 0.8031)
Pt (0.0000, 0.0000, 0.0000)
Pt (0.4031, 0.4031, 0.4031)
Pt (0.5969, 0.5969, 0.5969)

The 6 most intense peaks (5° ≤ 2θ ≤ 70°), low angle first:
2θ (°), intensity
7.74, 28
39.43, 33
40.05, 100
46.39, 64
67.28, 19
68.13, 21

Entry 3:
The following is a computed powder XRD pattern of Sm4Ge2S. It was derived from the PBE geometry in Alexandria, using Cu Kα (λ = 1.5418 Å).
Kinematic intensities with the Lorentz-polarization factor, no thermal factor.

Cell and atoms:
Cell: 7.7083 7.7083 7.7083 Å, 109.99 109.99 108.43°
Element x y z (fractional)
Sm (0.1172, 0.2395, 0.7391)
Sm (0.1281, 0.7504, 0.7609)
Sm (0.2496, 0.0105, 0.3777)
Sm (0.5004, 0.3781, 0.2609)
Sm (0.6219, 0.8828, 0.1223)
Sm (0.6328, 0.8719, 0.6223)
Sm (0.7605, 0.4996, 0.8777)
Sm (0.9895, 0.3672, 0.2391)
Ge (0.2524, 0.6250, 0.1274)
Ge (0.3750, 0.5024, 0.6274)
Ge (0.4976, 0.1250, 0.8726)
Ge (0.8750, 0.7476, 0.3726)
S (0.0000, 0.0000, 0.0000)
S (0.7500, 0.2500, 0.5000)

The 6 most intense peaks (5° ≤ 2θ ≤ 70°), low angle first:
2θ (°), intensity
31.44, 46
31.98, 100
37.59, 43
37.86, 23
38.02, 22
52.75, 23

Entry 4:
The following is a computed powder XRD pattern of CdInGa. It was derived from the PBE geometry in Alexandria, using Cu Kα (λ = 1.5418 Å).
Kinematic intensities with the Lorentz-polarization factor, no thermal factor.

Cell and atoms:
Cell: 5.6213 5.6213 3.1268 Å, 105.27 105.27 46.94°
Element x y z (fractional)
Cd (0.0000, 0.0000, 0.0000)
In (0.3252, 0.3252, 0.3263)
Ga (0.6574, 0.6574, 0.6544)

The 6 most intense peaks (5° ≤ 2θ ≤ 70°), low angle first:
2θ (°), intensity
33.79, 100
35.00, 91
39.41, 33
40.10, 31
40.28, 31
57.62, 21

Entry 5:
The following is a computed powder XRD pattern of AcEuIn. It was derived from the PBE geometry in Alexandria, using Cu Kα (λ = 1.5418 Å).
Kinematic intensities with the Lorentz-polarization factor, no thermal factor.

Cell and atoms:
Cell: 7.2894 7.2894 7.2894 Å, 147.86 147.86 46.10°
Element x y z (fractional)
Ac (0.0000, 0.0000, 0.0000)
Eu (0.7074, 0.7074, 0.0000)
In (0.3444, 0.3444, 0.0000)

The 6 most intense peaks (5° ≤ 2θ ≤ 70°), low angle first:
2θ (°), intensity
23.01, 13
29.82, 100
31.34, 49
44.92, 18
51.96, 15
54.85, 36

Entry 6:
The following is a computed powder XRD pattern of Ac6MgSn3. It was derived from the PBE geometry in Alexandria, using Cu Kα (λ = 1.5418 Å).
Kinematic intensities with the Lorentz-polarization factor, no thermal factor.

Cell and atoms:
Cell: 8.8240 8.8240 9.6951 Å, 90.00 90.00 89.81°
Element x y z (fractional)
Ac (0.0037, 0.4939, 0.7500)
Ac (0.1663, 0.8337, 0.5059)
Ac (0.1663, 0.8337, 0.9941)
Ac (0.3264, 0.3264, 0.0000)
Ac (0.3264, 0.3264, 0.5000)
Ac (0.4939, 0.0037, 0.2500)
Ac (0.5061, 0.9963, 0.7500)
Ac (0.6736, 0.6736, 0.0000)
Ac (0.6736, 0.6736, 0.5000)
Ac (0.8337, 0.1663, 0.0059)
Ac (0.8337, 0.1663, 0.4941)
Ac (0.9963, 0.5061, 0.2500)
Mg (0.3843, 0.6157, 0.2500)
Mg (0.6157, 0.3843, 0.7500)
Sn (0.1248, 0.1273, 0.2500)
Sn (0.1273, 0.1248, 0.7500)
Sn (0.3739, 0.6261, 0.7500)
Sn (0.6261, 0.3739, 0.2500)
Sn (0.8727, 0.8752, 0.2500)
Sn (0.8752, 0.8727, 0.7500)

The 6 most intense peaks (5° ≤ 2θ ≤ 70°), low angle first:
2θ (°), intensity
23.23, 21
27.33, 56
29.18, 100
32.08, 51
37.10, 26
49.83, 31

Please write out number 1 again, unchanged.
The following is a computed powder XRD pattern of Hg4Rh3. It was derived from the PBE geometry in Alexandria, using Cu Kα (λ = 1.5418 Å).
Kinematic intensities with the Lorentz-polarization factor, no thermal factor.

Cell and atoms:
Cell: 14.4324 14.4324 14.4324 Å, 167.96 167.96 17.05°
Element x y z (fractional)
Hg (0.0658, 0.0658, 0.0000)
Hg (0.3462, 0.3462, 0.0000)
Hg (0.6538, 0.6538, 0.0000)
Hg (0.9342, 0.9342, 0.0000)
Rh (0.2219, 0.2219, 0.0000)
Rh (0.5000, 0.5000, 0.0000)
Rh (0.7781, 0.7781, 0.0000)

The 6 most intense peaks (5° ≤ 2θ ≤ 70°), low angle first:
2θ (°), intensity
31.01, 13
36.99, 100
42.23, 39
44.43, 10
61.26, 13
62.97, 14